This entry pairs a crystal structure of DyAl2GaNi4 with its calculated powder XRD pattern. Radiation: copper Kα. Structure: a DFT-relaxed cell (GGA-PBE, Alexandria).
Peak positions follow from Bragg's law for the DFT cell and can differ from measured ones.

The 10 most intense peaks (10° ≤ 2θ ≤ 90°), in order of rising 2θ:
- d 3.387, rel. 59
- d 2.858, rel. 22
- d 2.480, rel. 33
- d 2.308, rel. 81
- d 2.035, rel. 100
- d 2.007, rel. 20
- d 1.526, rel. 21
- d 1.439, rel. 12
- d 1.221, rel. 20
- d 1.175, rel. 15

Atomic structure:
Cell lengths 8.4726, 8.4726, 8.4726 Å; angles 27.80, 27.80, 27.80 degrees
Fractional coordinates of all 8 atoms:
Dy 0.0000 0.0000 0.0000
Al 0.2406 0.2406 0.2406
Al 0.7594 0.7594 0.7594
Ga 0.5000 0.5000 0.5000
Ni 0.1322 0.1322 0.1322
Ni 0.4038 0.4038 0.4038
Ni 0.5962 0.5962 0.5962
Ni 0.8678 0.8678 0.8678

This entry pairs a crystal structure of DyAlGa2Ni4 with its calculated powder XRD pattern. Radiation: copper Kα. Structure: a DFT-relaxed cell (GGA-PBE, Alexandria).
Peak positions follow from Bragg's law for the DFT cell and can differ from measured ones.

The 10 most intense peaks (10° ≤ 2θ ≤ 90°), in order of rising 2θ:
- d 3.491, rel. 18
- d 3.049, rel. 10
- d 2.853, rel. 40
- d 2.472, rel. 35
- d 2.299, rel. 87
- d 2.037, rel. 100
- d 1.525, rel. 23
- d 1.435, rel. 14
- d 1.221, rel. 21
- d 1.176, rel. 16

Atomic structure:
Cell lengths 8.4189, 8.4189, 8.4189 Å; angles 28.00, 28.00, 28.00 degrees
Fractional coordinates of all 8 atoms:
Dy 0.0000 0.0000 0.0000
Al 0.5000 0.5000 0.5000
Ga 0.2423 0.2423 0.2423
Ga 0.7577 0.7577 0.7577
Ni 0.1332 0.1332 0.1332
Ni 0.4036 0.4036 0.4036
Ni 0.5964 0.5964 0.5964
Ni 0.8668 0.8668 0.8668

This entry pairs a crystal structure of Dy2Al3GaPd4 with its calculated powder XRD pattern. Radiation: copper Kα. Structure: a DFT-relaxed cell (GGA-PBE, Alexandria).
Peak positions follow from Bragg's law for the DFT cell and can differ from measured ones.

The 10 most intense peaks (10° ≤ 2θ ≤ 90°), in order of rising 2θ:
- d 2.913, rel. 16
- d 2.648, rel. 57
- d 2.605, rel. 100
- d 2.152, rel. 54
- d 1.825, rel. 24
- d 1.670, rel. 28
- d 1.522, rel. 18
- d 1.470, rel. 14
- d 1.392, rel. 19
- d 1.314, rel. 23

Atomic structure:
Cell lengths 4.3036, 4.3036, 10.0762 Å; angles 90.00, 90.00, 90.00 degrees
Fractional coordinates of all 10 atoms:
Dy 0.0000 0.5000 0.2489
Dy 0.5000 0.0000 0.7511
Al 0.0000 0.0000 0.0000
Al 0.0000 0.5000 0.6262
Al 0.5000 0.0000 0.3738
Ga 0.5000 0.5000 0.0000
Pd 0.0000 0.0000 0.5000
Pd 0.0000 0.5000 0.8667
Pd 0.5000 0.0000 0.1333
Pd 0.5000 0.5000 0.5000

This entry pairs a crystal structure of Dy2Al4GaPd3 with its calculated powder XRD pattern. Radiation: copper Kα. Structure: a DFT-relaxed cell (GGA-PBE, Alexandria).
Peak positions follow from Bragg's law for the DFT cell and can differ from measured ones.

The 10 most intense peaks (10° ≤ 2θ ≤ 90°), in order of rising 2θ:
- d 2.967, rel. 27
- d 2.858, rel. 22
- d 2.710, rel. 76
- d 2.592, rel. 100
- d 2.098, rel. 54
- d 1.899, rel. 36
- d 1.659, rel. 35
- d 1.484, rel. 18
- d 1.408, rel. 27
- d 1.288, rel. 22

Atomic structure:
Cell lengths 4.1965, 4.1965, 10.6462 Å; angles 90.00, 90.00, 90.00 degrees
Fractional coordinates of all 10 atoms:
Dy 0.0000 0.5000 0.2486
Dy 0.5000 0.0000 0.7514
Al 0.0000 0.0000 0.0000
Al 0.0000 0.5000 0.6392
Al 0.5000 0.0000 0.3608
Al 0.5000 0.5000 0.0000
Ga 0.0000 0.0000 0.5000
Pd 0.0000 0.5000 0.8680
Pd 0.5000 0.0000 0.1320
Pd 0.5000 0.5000 0.5000

What is the formula in the fourth record? Dy2Al4GaPd3

What did the fourth record say?
This entry pairs a crystal structure of Dy2Al4GaPd3 with its calculated powder XRD pattern. Radiation: copper Kα. Structure: a DFT-relaxed cell (GGA-PBE, Alexandria).
Peak positions follow from Bragg's law for the DFT cell and can differ from measured ones.

The 10 most intense peaks (10° ≤ 2θ ≤ 90°), in order of rising 2θ:
- d 2.967, rel. 27
- d 2.858, rel. 22
- d 2.710, rel. 76
- d 2.592, rel. 100
- d 2.098, rel. 54
- d 1.899, rel. 36
- d 1.659, rel. 35
- d 1.484, rel. 18
- d 1.408, rel. 27
- d 1.288, rel. 22

Atomic structure:
Cell lengths 4.1965, 4.1965, 10.6462 Å; angles 90.00, 90.00, 90.00 degrees
Fractional coordinates of all 10 atoms:
Dy 0.0000 0.5000 0.2486
Dy 0.5000 0.0000 0.7514
Al 0.0000 0.0000 0.0000
Al 0.0000 0.5000 0.6392
Al 0.5000 0.0000 0.3608
Al 0.5000 0.5000 0.0000
Ga 0.0000 0.0000 0.5000
Pd 0.0000 0.5000 0.8680
Pd 0.5000 0.0000 0.1320
Pd 0.5000 0.5000 0.5000